# 1
Diffraction record for Lu2Si2O7. The powder XRD pattern is theoretical, not measured: it uses a cell relaxed with PBE and Cu Kα (weighted mean of Kα1 and Kα2).
Neutral-atom scattering factors, no anomalous dispersion.

Most intense lines, 2θ = 10–90°, in order of falling intensity:
two_theta, Rel. int., (hkl)
28.06, 100.0, 0 2 1
19.37, 86.1, 0 0 1
29.88, 64.5, 2 0 -1
33.34, 51.6, 1 3 0
16.82, 41.3, 1 1 0
40.37, 37.8, 1 3 1
34.02, 37.8, 2 2 0
27.91, 32.9, 1 1 1
43.03, 30.4, 2 0 -2
27.16, 28.3, 2 0 0

Crystal structure
Unit cell a=6.724 b=8.837 c=4.691 alpha=90.00 beta=102.38 gamma=90.00
Space group C2/m (No. 12)
Asymmetric unit:
Lu 0.000 0.192 0.000 [4 per cell]
Si 0.221 0.500 0.408 [4 per cell]
O 0.000 0.500 0.500 [2 per cell]
O 0.112 0.000 0.283 [4 per cell]
O 0.236 0.347 0.216 [8 per cell]

***

# 2
Diffraction record for LuTa2O4. The powder XRD pattern is theoretical, not measured: it uses a cell relaxed with PBE and Cu Kα (weighted mean of Kα1 and Kα2).
Neutral-atom scattering factors, no anomalous dispersion.

Most intense lines, 2θ = 10–90°, in order of falling intensity:
two_theta, Rel. int., (hkl)
33.14, 100.0, 3 1 1
58.21, 38.3, 4 4 0
53.08, 36.8, 5 1 1
34.66, 27.8, 2 2 2
28.15, 25.6, 2 2 0
82.68, 22.5, 5 5 3
69.55, 12.8, 6 2 2
68.65, 12.5, 5 3 3
49.83, 10.7, 4 2 2
40.24, 10.0, 4 0 0

Crystal structure
Unit cell a=8.965 b=8.965 c=8.965 alpha=90.00 beta=90.00 gamma=90.00
Space group Fd-3m (No. 227, origin choice 2)
Asymmetric unit:
Lu 0.125 0.125 0.125 [8 per cell]
Ta 0.000 0.000 0.500 [16 per cell]
O 0.006 0.006 0.744 [32 per cell]

***

# 3
Diffraction record for Lu2Te5O13. The powder XRD pattern is theoretical, not measured: it uses a cell relaxed with PBE and Cu Kα (weighted mean of Kα1 and Kα2).
Neutral-atom scattering factors, no anomalous dispersion.

Most intense lines, 2θ = 10–90°, in order of falling intensity:
two_theta, Rel. int., (hkl)
28.46, 100.0, 2 1 -1
28.18, 51.0, 0 1 -3
27.74, 48.2, 1 2 2
31.57, 32.4, 2 0 2
33.03, 25.5, -1 1 3
47.00, 24.9, -3 1 1
33.44, 23.9, 1 3 -1
45.68, 13.5, 1 1 5
46.30, 13.1, 3 3 1
56.85, 12.9, 1 4 -4

Crystal structure
Unit cell a=6.794 b=8.510 c=10.355 alpha=88.62 beta=86.75 gamma=74.84
Space group P-1 (No. 2)
Asymmetric unit:
Lu 0.000 0.238 0.239 [2 per cell]
Lu 0.449 0.968 0.819 [2 per cell]
Te 0.132 0.846 0.101 [2 per cell]
Te 0.160 0.303 0.631 [2 per cell]
Te 0.270 0.897 0.476 [2 per cell]
Te 0.290 0.383 0.967 [2 per cell]
Te 0.437 0.411 0.304 [2 per cell]
O 0.037 0.852 0.564 [2 per cell]
O 0.053 0.321 0.036 [2 per cell]
O 0.068 0.520 0.688 [2 per cell]
O 0.068 0.766 0.282 [2 per cell]
O 0.129 0.991 0.898 [2 per cell]
O 0.235 0.001 0.186 [2 per cell]
O 0.312 0.238 0.290 [2 per cell]
O 0.326 0.725 0.778 [2 per cell]
O 0.339 0.014 0.614 [2 per cell]
O 0.340 0.238 0.770 [2 per cell]
O 0.347 0.494 0.122 [2 per cell]
O 0.460 0.688 0.511 [2 per cell]
O 0.471 0.173 0.999 [2 per cell]

***

# 4
Diffraction record for Lu2Zn2O5. The powder XRD pattern is theoretical, not measured: it uses a cell relaxed with PBE and Cu Kα (weighted mean of Kα1 and Kα2).
Neutral-atom scattering factors, no anomalous dispersion.

Most intense lines, 2θ = 10–90°, in order of falling intensity:
two_theta, Rel. int., (hkl)
34.81, 100.0, 1 0 2
32.81, 52.3, 1 1 0
59.87, 42.0, 2 1 2
47.09, 31.6, 2 0 0
23.04, 22.2, 1 0 0
42.16, 21.4, 1 1 2
63.67, 16.4, 1 1 4
73.50, 12.1, 2 0 4
68.79, 9.6, 2 2 0
79.47, 9.3, 3 0 2

Crystal structure
Unit cell a=3.860 b=3.860 c=6.923 alpha=90.00 beta=90.00 gamma=90.00
Space group P4/mmm (No. 123)
Asymmetric unit:
Lu 0.000 0.000 0.000 [1 per cell]
Lu 0.000 0.000 0.500 [1 per cell]
Zn 0.500 0.500 0.222 [2 per cell]
O 0.000 0.500 0.200 [4 per cell]
O 0.500 0.500 0.500 [1 per cell]

***

# 5
Diffraction record for LuOs. The powder XRD pattern is theoretical, not measured: it uses a cell relaxed with PBE and Cu Kα (weighted mean of Kα1 and Kα2).
Neutral-atom scattering factors, no anomalous dispersion.

Most intense lines, 2θ = 10–90°, in order of falling intensity:
two_theta, Rel. int., (hkl)
38.63, 100.0, 1 0 1
32.29, 27.0, 1 0 0
57.58, 21.1, 1 1 0
73.78, 20.4, 1 1 2
42.00, 17.6, 0 0 2
71.51, 16.7, 2 0 1
74.48, 14.9, 1 0 3
53.95, 12.9, 1 0 2
82.84, 3.8, 2 0 2
67.58, 3.3, 2 0 0

Crystal structure
Unit cell a=3.2013 b=3.2013 c=4.3028 alpha=90.00 beta=90.00 gamma=120.00
Space group P-6m2 (No. 187)
Asymmetric unit:
Lu 0.0000 0.0000 0.0000 [1 per cell]
Os 0.6667 0.3333 0.5000 [1 per cell]

***

# 6
Diffraction record for LuOsPb2. The powder XRD pattern is theoretical, not measured: it uses a cell relaxed with PBE and Cu Kα (weighted mean of Kα1 and Kα2).
Neutral-atom scattering factors, no anomalous dispersion.

Most intense lines, 2θ = 10–90°, in order of falling intensity:
two_theta, Rel. int., (hkl)
35.54, 100.0, 2 2 0
63.82, 37.6, 4 2 2
51.14, 18.1, 4 0 0
86.06, 17.3, 6 2 0
75.23, 11.8, 4 4 0

Crystal structure
Unit cell a=7.145 b=7.145 c=7.145 alpha=90.00 beta=90.00 gamma=90.00
Space group F-43m (No. 216)
Asymmetric unit:
Lu 0.000 0.000 0.000 [4 per cell]
Os 0.250 0.250 0.750 [4 per cell]
Pb 0.000 0.000 0.500 [4 per cell]
Pb 0.250 0.250 0.250 [4 per cell]

***

# 7
Diffraction record for TmLuSi2Os. The powder XRD pattern is theoretical, not measured: it uses a cell relaxed with PBE and Cu Kα (weighted mean of Kα1 and Kα2).
Neutral-atom scattering factors, no anomalous dispersion.

Most intense lines, 2θ = 10–90°, in order of falling intensity:
two_theta, Rel. int., (hkl)
34.29, 100.0, 1 1 2
34.17, 60.8, 3 1 -2
37.79, 60.5, 3 1 -3
41.66, 56.6, 3 1 1
43.09, 47.6, 0 2 0
27.98, 42.6, 1 1 -2
23.30, 39.4, 1 1 0
10.25, 29.3, 0 0 1
35.35, 28.8, 4 0 -1
41.86, 25.5, 0 0 4

Crystal structure
Unit cell a=10.437 b=4.198 c=9.807 alpha=90.00 beta=118.32 gamma=90.00
Space group C2/m (No. 12)
Asymmetric unit:
Tm 0.185 0.000 0.111 [4 per cell]
Lu 0.007 0.000 0.678 [4 per cell]
Si 0.007 0.500 0.877 [4 per cell]
Si 0.140 0.500 0.560 [4 per cell]
Os 0.231 0.500 0.371 [4 per cell]

***

# 8
Diffraction record for Lu7Te2Os2. The powder XRD pattern is theoretical, not measured: it uses a cell relaxed with PBE and Cu Kα (weighted mean of Kα1 and Kα2).
Neutral-atom scattering factors, no anomalous dispersion.

Most intense lines, 2θ = 10–90°, in order of falling intensity:
two_theta, Rel. int., (hkl)
34.10, 100.0, 1 4 1
34.85, 47.8, 1 3 2
34.26, 44.9, 0 3 3
30.57, 42.0, 1 1 2
46.23, 30.1, 2 0 0
11.53, 28.5, 0 2 0
37.36, 23.6, 1 0 3
39.22, 23.3, 1 2 3
58.78, 20.6, 2 3 3
30.71, 19.3, 0 5 1

Crystal structure
Unit cell a=3.928 b=15.355 c=9.138 alpha=90.00 beta=90.00 gamma=90.00
Space group Imm2 (No. 44)
Asymmetric unit:
Lu 0.000 0.000 0.000 [2 per cell]
Lu 0.000 0.136 0.580 [4 per cell]
Lu 0.000 0.313 0.365 [4 per cell]
Lu 0.000 0.351 0.734 [4 per cell]
Te 0.000 0.000 0.336 [2 per cell]
Te 0.000 0.500 0.232 [2 per cell]
Os 0.000 0.235 0.064 [4 per cell]